# CuO
Simulated X-ray diffraction stick pattern, copper Kα. Input: a DFT-relaxed cell (GGA-PBE, the Materials Project).

Principal peaks in the range 2θ from 10° to 90°, by intensity:
2θ/deg  d_spacing  I/Imax
34.73  2.583  100.0
35.66  2.518  77.7
57.80  1.595  24.3
63.39  1.467  17.7
54.81  1.675  14.7
61.72  1.503  14.1
42.59  2.123  13.3
57.43  1.605  12.5
63.56  1.464  11.9
44.63  2.030  11.8

Unit cell a=4.249 b=4.061 c=5.161 alpha=90.00 beta=92.50 gamma=90.00
Space group C2/c (No. 15)
Inequivalent atoms, fractional coordinates:
Cu: 0.250 0.250 0.000
O: 0.000 0.014 0.250